This entry pairs a crystal structure of ZrNi2F8 with its theoretical XRD peak list. Radiation: Cu Kα, 1.54184 Å. Structure: a PBE+U-relaxed structure.

Cell and atoms:
```
data_ZrNi2F8
_chemical_formula_sum 'Zr2 Ni4 F16'
_cell_length_a 6.1699
_cell_length_b 9.3917
_cell_length_c 4.8631
_cell_angle_alpha 90.00
_cell_angle_beta 111.56
_cell_angle_gamma 90.00
_symmetry_space_group_name_H-M 'C 1 m 1'
_symmetry_Int_Tables_number 8
loop_
_symmetry_equiv_pos_as_xyz
'x,y,z'
'x,-y,z'
'x+1/2,y+1/2,z'
'x+1/2,-y+1/2,z'
loop_
_atom_site_label
_atom_site_type_symbol
_atom_site_fract_x
_atom_site_fract_y
_atom_site_fract_z
Zr1 Zr 0.0000 0.0000 0.0000
Ni1 Ni 0.0304 0.3321 0.3098
F1 F 0.0113 0.1704 0.7640
F2 F 0.1626 0.5000 0.5909
F3 F 0.2192 0.1406 0.3720
F4 F 0.2872 0.3600 0.1386
F5 F 0.3704 0.0000 0.0419
```

Peak list (10 most intense, 10 to 90 degrees two-theta, sorted by position)
hkl 0 0 1, 2θ = 19.6°, intensity 80
hkl 1 1 -1, 2θ = 22.2°, intensity 100
hkl 0 2 1, 2θ = 27.4°, intensity 59
hkl 1 1 1, 2θ = 30.8°, intensity 44
hkl 2 0 0, 2θ = 31.2°, intensity 38
hkl 1 3 0, 2θ = 32.6°, intensity 44
hkl 1 3 1, 2θ = 41.3°, intensity 48
hkl 0 2 2, 2θ = 44.5°, intensity 36
hkl 2 2 -2, 2θ = 45.2°, intensity 51
hkl 3 3 -1, 2θ = 53.4°, intensity 29